Entry 1:
For K4TeF, a cell relaxed with GGA-PBE gives the theoretical X-ray diffraction stick pattern in this record (Cu Kα (λ = 1.5418 Å)).

Atomic structure:
abc: 6.1309 5.2764 8.5380
angles: 90.00 110.44 90.00
Space group Pm (No. 6)
Inequivalent atoms, fractional coordinates:
K: 0.0000 0.0000 0.0000 x1
K: 0.2175 0.0000 0.4808 x1
K: 0.4467 0.5000 0.8900 x1
K: 0.6780 0.5000 0.4660 x1
Te: 0.5934 0.0000 0.1922 x1
F: 0.3204 0.5000 0.5675 x1

Principal peaks in the range 2θ from 15° to 90°, by angle:
2θ (°), d_spacing, intensity, (hkl)
15.42, 5.745, 43.5, 1 0 0
15.53, 5.705, 26.3, 1 0 -1
16.80, 5.276, 24.5, 0 1 0
20.16, 4.405, 82.4, 0 1 1
27.79, 3.210, 65.7, 1 1 1
27.98, 3.189, 100.0, 1 1 -2
29.13, 3.065, 54.4, 2 0 -1
33.98, 2.638, 38.1, 0 2 0
35.81, 2.508, 61.8, 1 1 2
45.34, 2.000, 43.3, 2 2 -1

---

Entry 2:
For KTe2F9, a cell relaxed with GGA-PBE gives the theoretical X-ray diffraction stick pattern in this record (Cu Kα (λ = 1.5418 Å)).

Atomic structure:
abc: 4.9899 9.5150 9.5190
angles: 110.15 96.39 95.58
Space group P-1 (No. 2)
Inequivalent atoms, fractional coordinates:
K: 0.1204 0.2556 0.0455 x2
Te: 0.1374 0.4049 0.6756 x2
Te: 0.3888 0.9648 0.6914 x2
F: 0.0628 0.4313 0.3459 x2
F: 0.1068 0.5895 0.1822 x2
F: 0.1556 0.9598 0.8486 x2
F: 0.1910 0.7443 0.4672 x2
F: 0.2493 0.2390 0.7513 x2
F: 0.2863 0.0461 0.4157 x2
F: 0.3609 0.5610 0.8564 x2
F: 0.3640 0.8968 0.1374 x2
F: 0.4805 0.1993 0.2643 x2

Principal peaks in the range 2θ from 15° to 90°, by angle:
2θ (°), d_spacing, intensity, (hkl)
19.33, 4.592, 62.8, 1 -1 0
20.11, 4.416, 73.9, 0 0 2
21.99, 4.043, 100.0, 1 1 0
22.23, 3.999, 27.0, -1 1 1
22.79, 3.901, 84.1, 0 2 -2
25.11, 3.546, 59.8, 1 1 -2
25.58, 3.482, 45.1, 0 2 1
30.36, 2.944, 27.1, 0 0 3
42.85, 2.111, 23.3, 1 3 1
42.96, 2.105, 26.7, 1 1 3

---

What did the second record say?
For KTe2F9, a cell relaxed with GGA-PBE gives the theoretical X-ray diffraction stick pattern in this record (Cu Kα (λ = 1.5418 Å)).

Atomic structure:
abc: 4.9899 9.5150 9.5190
angles: 110.15 96.39 95.58
Space group P-1 (No. 2)
Inequivalent atoms, fractional coordinates:
K: 0.1204 0.2556 0.0455 x2
Te: 0.1374 0.4049 0.6756 x2
Te: 0.3888 0.9648 0.6914 x2
F: 0.0628 0.4313 0.3459 x2
F: 0.1068 0.5895 0.1822 x2
F: 0.1556 0.9598 0.8486 x2
F: 0.1910 0.7443 0.4672 x2
F: 0.2493 0.2390 0.7513 x2
F: 0.2863 0.0461 0.4157 x2
F: 0.3609 0.5610 0.8564 x2
F: 0.3640 0.8968 0.1374 x2
F: 0.4805 0.1993 0.2643 x2

Principal peaks in the range 2θ from 15° to 90°, by angle:
2θ (°), d_spacing, intensity, (hkl)
19.33, 4.592, 62.8, 1 -1 0
20.11, 4.416, 73.9, 0 0 2
21.99, 4.043, 100.0, 1 1 0
22.23, 3.999, 27.0, -1 1 1
22.79, 3.901, 84.1, 0 2 -2
25.11, 3.546, 59.8, 1 1 -2
25.58, 3.482, 45.1, 0 2 1
30.36, 2.944, 27.1, 0 0 3
42.85, 2.111, 23.3, 1 3 1
42.96, 2.105, 26.7, 1 1 3